The following is a computed X-ray powder pattern of Mn2TcO5. It was derived from a crystal structure in Alexandria, relaxed with GGA+U, using Cu Kα.
Intensities are scaled so that the largest is 100.

Cell and atoms:
Unit cell a=10.7288 b=3.8105 c=6.3232 alpha=90.00 beta=125.25 gamma=90.00
Space group C2/m (No. 12)
Symmetry-distinct sites (fractional):
Mn 0.1802 0.0000 0.1186 x4
Tc 0.0000 0.0000 0.5000 x2
O 0.0000 0.5000 0.5000 x2
O 0.0449 0.0000 0.2542 x4
O 0.2243 0.0000 0.8033 x4

Peak list (10 most intense, 2θ from 10° to 90°, by angle)
17.42°, rel. 58.7, hkl 2 0 -1
25.49°, rel. 100.0, hkl 1 1 0
28.23°, rel. 46.3, hkl 2 0 -2
33.61°, rel. 50.8, hkl 2 0 1
34.39°, rel. 28.4, hkl 3 1 -1
38.28°, rel. 20.4, hkl 1 1 -2
44.36°, rel. 22.8, hkl 4 0 -3
47.74°, rel. 24.5, hkl 0 2 0
49.97°, rel. 20.3, hkl 3 1 1
54.22°, rel. 20.6, hkl 5 1 -3